# K3H9Ru2
Calculated XRD peak list, copper Kα. Input: a cell relaxed with GGA-PBE.
Neutral-atom scattering factors, no anomalous dispersion.

Largest 10 diffraction maxima, by angle, 2θ from 10° to 90°:
| 2theta | I (rel.) | (hkl) |
| --- | --- | --- |
| 12.40 | 29 | 0 0 2 |
| 17.80 | 43 | 1 0 0 |
| 18.86 | 98 | 1 0 1 |
| 30.82 | 25 | 1 0 4 |
| 31.08 | 100 | 1 1 0 |
| 36.27 | 46 | 1 0 5 |
| 48.25 | 22 | 1 0 7 |
| 48.49 | 20 | 2 0 5 |
| 55.30 | 18 | 3 0 0 |
| 58.72 | 22 | 2 1 5 |

Structure:
```
data_K3H9Ru2
_cell_length_a 5.7551
_cell_length_b 5.7551
_cell_length_c 14.2716
_cell_angle_alpha 90.00
_cell_angle_beta 90.00
_cell_angle_gamma 120.00
_space_group_name_H-M_alt 'P 63/m m c'
_space_group_IT_number 194
_space_group_name_Hall '-P 6c 2c'
loop_
_atom_site_label
_atom_site_fract_x
_atom_site_fract_y
_atom_site_fract_z
K1 0.0000 0.0000 0.2500
K2 0.3333 0.6667 0.0823
H1 0.0473 0.5236 0.7500
H2 0.2003 0.4006 0.5945
Ru1 0.3333 0.6667 0.6654
```



# LaNCl3
Calculated XRD peak list, copper Kα. Input: a cell relaxed with GGA-PBE.
Neutral-atom scattering factors, no anomalous dispersion.

Largest 10 diffraction maxima, by angle, 2θ from 10° to 90°:
| 2theta | I (rel.) | (hkl) |
| --- | --- | --- |
| 19.08 | 76 | 0 1 2 |
| 20.54 | 65 | 1 0 0 |
| 21.81 | 89 | 0 2 1 |
| 22.18 | 74 | 0 2 0 |
| 22.35 | 49 | 1 0 1 |
| 24.12 | 83 | 1 1 -1 |
| 27.43 | 100 | 1 0 2 |
| 30.16 | 54 | 1 1 -2 |
| 33.91 | 57 | 1 2 3 |
| 34.11 | 58 | 0 3 2 |

Structure:
```
data_LaNCl3
_cell_length_a 4.479
_cell_length_b 8.570
_cell_length_c 9.929
_cell_angle_alpha 74.76
_cell_angle_beta 84.73
_cell_angle_gamma 74.92
_space_group_name_H-M_alt 'P 1'
_space_group_IT_number 1
_space_group_name_Hall 'P 1'
loop_
_atom_site_label
_atom_site_fract_x
_atom_site_fract_y
_atom_site_fract_z
La1 0.000 0.000 0.000
La2 0.265 0.517 0.874
N1 0.060 0.220 0.422
N2 0.200 0.295 0.452
Cl1 0.114 0.866 0.768
Cl2 0.152 0.651 0.107
Cl3 0.446 0.179 0.828
Cl4 0.482 0.964 0.176
Cl5 0.782 0.554 0.698
Cl6 0.819 0.339 0.046
```



# Ti2As2Se
Calculated XRD peak list, copper Kα. Input: a cell relaxed with GGA-PBE.
Neutral-atom scattering factors, no anomalous dispersion.

Largest 10 diffraction maxima, by angle, 2θ from 10° to 90°:
| 2theta | I (rel.) | (hkl) |
| --- | --- | --- |
| 31.46 | 34 | 1 1 1 |
| 35.82 | 8 | 2 2 0 |
| 38.55 | 100 | 2 1 1 |
| 40.22 | 58 | 3 1 0 |
| 44.68 | 7 | 2 2 1 |
| 53.05 | 15 | 0 0 2 |
| 53.64 | 11 | 3 2 1 |
| 58.54 | 11 | 4 0 1 |
| 68.62 | 23 | 3 1 2 |
| 77.61 | 17 | 5 2 1 |

Structure:
```
data_Ti2As2Se
_cell_length_a 7.090
_cell_length_b 7.090
_cell_length_c 3.452
_cell_angle_alpha 90.00
_cell_angle_beta 90.00
_cell_angle_gamma 90.00
_space_group_name_H-M_alt 'P 4/m b m'
_space_group_IT_number 127
_space_group_name_Hall '-P 4 2ab'
loop_
_atom_site_label
_atom_site_fract_x
_atom_site_fract_y
_atom_site_fract_z
Ti1 0.156 0.344 0.000
As1 0.136 0.636 0.500
Se1 0.000 0.000 0.000
```



# Li4SbO4
Calculated XRD peak list, copper Kα. Input: a cell relaxed with GGA-PBE.
Neutral-atom scattering factors, no anomalous dispersion.

Largest 10 diffraction maxima, by angle, 2θ from 10° to 90°:
| 2theta | I (rel.) | (hkl) |
| --- | --- | --- |
| 19.65 | 100 | 1 0 1 |
| 20.47 | 41 | 0 0 2 |
| 23.78 | 34 | 1 1 0 |
| 31.58 | 35 | 1 1 2 |
| 35.37 | 28 | 1 0 3 |
| 39.48 | 31 | 2 1 1 |
| 39.92 | 12 | 2 0 2 |
| 48.68 | 13 | 2 2 0 |
| 49.79 | 21 | 2 1 3 |
| 54.73 | 12 | 2 0 4 |

Structure:
```
data_Li4SbO4
_cell_length_a 5.291
_cell_length_b 5.291
_cell_length_c 8.676
_cell_angle_alpha 90.00
_cell_angle_beta 90.00
_cell_angle_gamma 90.00
_space_group_name_H-M_alt 'I -4 2 m'
_space_group_IT_number 121
_space_group_name_Hall 'I -4 2'
loop_
_atom_site_label
_atom_site_fract_x
_atom_site_fract_y
_atom_site_fract_z
Li1 0.000 0.000 0.153
Li2 0.000 0.500 0.000
Sb1 0.000 0.000 0.500
O1 0.245 0.245 0.593
```



# DyHo2TmBi5
Calculated XRD peak list, copper Kα. Input: a cell relaxed with GGA-PBE.
Neutral-atom scattering factors, no anomalous dispersion.

Largest 10 diffraction maxima, by angle, 2θ from 10° to 90°:
| 2theta | I (rel.) | (hkl) |
| --- | --- | --- |
| 23.49 | 63 | 1 1 0 |
| 24.68 | 52 | 1 1 1 |
| 27.96 | 41 | 1 1 2 |
| 30.15 | 63 | 0 0 4 |
| 32.75 | 35 | 1 1 3 |
| 33.47 | 100 | 2 0 0 |
| 38.57 | 33 | 1 1 4 |
| 45.66 | 83 | 2 0 4 |
| 48.05 | 37 | 2 2 0 |
| 57.78 | 42 | 2 2 4 |

Structure:
```
data_DyHo2TmBi5
_cell_length_a 5.355
_cell_length_b 5.355
_cell_length_c 11.858
_cell_angle_alpha 90.00
_cell_angle_beta 90.00
_cell_angle_gamma 90.00
_space_group_name_H-M_alt 'P 4/m m m'
_space_group_IT_number 123
_space_group_name_Hall '-P 4 2'
loop_
_atom_site_label
_atom_site_fract_x
_atom_site_fract_y
_atom_site_fract_z
Dy1 0.000 0.000 0.000
Ho1 0.500 0.500 0.266
Tm1 0.000 0.000 0.500
Bi1 0.000 0.000 0.247
Bi2 0.000 0.500 0.500
Bi3 0.500 0.500 0.000
```



# Tb7Pm4Dy
Calculated XRD peak list, copper Kα. Input: a cell relaxed with GGA-PBE.
Neutral-atom scattering factors, no anomalous dispersion.

Largest 10 diffraction maxima, by angle, 2θ from 10° to 90°:
| 2theta | I (rel.) | (hkl) |
| --- | --- | --- |
| 27.00 | 15 | 3 1 -2 |
| 27.90 | 19 | 2 0 2 |
| 29.25 | 14 | 3 1 0 |
| 30.05 | 79 | 0 2 0 |
| 30.60 | 60 | 4 0 -3 |
| 32.42 | 86 | 1 1 -4 |
| 33.37 | 100 | 3 1 1 |
| 43.42 | 46 | 4 2 -3 |
| 54.87 | 21 | 1 3 -4 |
| 55.50 | 24 | 3 3 1 |

Structure:
```
data_Tb7Pm4Dy
_cell_length_a 12.100
_cell_length_b 5.948
_cell_length_c 12.801
_cell_angle_alpha 90.00
_cell_angle_beta 118.06
_cell_angle_gamma 90.00
_space_group_name_H-M_alt 'C 1 2/m 1'
_space_group_IT_number 12
_space_group_name_Hall '-C 2y'
loop_
_atom_site_label
_atom_site_fract_x
_atom_site_fract_y
_atom_site_fract_z
Tb1 0.000 0.000 0.000
Tb2 0.135 0.500 0.503
Tb3 0.212 0.000 0.923
Tb4 0.248 0.500 0.315
Pm1 0.058 0.000 0.329
Pm2 0.137 0.500 0.777
Dy1 0.000 0.500 0.000
```



# LaTb2Sm3
Calculated XRD peak list, copper Kα. Input: a cell relaxed with GGA-PBE.
Neutral-atom scattering factors, no anomalous dispersion.

Largest 10 diffraction maxima, by angle, 2θ from 10° to 90°:
| 2theta | I (rel.) | (hkl) |
| --- | --- | --- |
| 30.18 | 100 | 2 2 0 |
| 34.99 | 51 | 2 0 6 |
| 50.32 | 36 | 4 0 0 |
| 59.81 | 43 | 4 2 6 |
| 62.76 | 12 | 4 4 0 |
| 73.92 | 6 | 4 0 12 |
| 81.83 | 9 | 2 6 12 |
| 81.92 | 9 | 6 2 0 |
| 84.45 | 8 | 4 4 12 |
| 84.51 | 8 | 6 0 6 |

Structure:
```
data_LaTb2Sm3
_cell_length_a 7.247
_cell_length_b 10.255
_cell_length_c 21.781
_cell_angle_alpha 90.00
_cell_angle_beta 90.00
_cell_angle_gamma 90.00
_space_group_name_H-M_alt 'F d d d'
_space_group_IT_number 70
loop_
_space_group_symop_operation_xyz
'x,y,z'
'-x,-y,-z'
'-x+1/4,-y+1/4,z'
'x+1/4,y+1/4,-z'
'x,-y+1/4,-z+1/4'
'-x,y+1/4,z+1/4'
'-x+1/4,y,-z+1/4'
'x+1/4,-y,z+1/4'
'x,y+1/2,z+1/2'
'-x,-y+1/2,-z+1/2'
'-x+1/4,-y+3/4,z+1/2'
'x+1/4,y+3/4,-z+1/2'
'x,-y+3/4,-z+3/4'
'-x,y+3/4,z+3/4'
'-x+1/4,y+1/2,-z+3/4'
'x+1/4,-y+1/2,z+3/4'
'x+1/2,y,z+1/2'
'-x+1/2,-y,-z+1/2'
'-x+3/4,-y+1/4,z+1/2'
'x+3/4,y+1/4,-z+1/2'
'x+1/2,-y+1/4,-z+3/4'
'-x+1/2,y+1/4,z+3/4'
'-x+3/4,y,-z+3/4'
'x+3/4,-y,z+3/4'
'x+1/2,y+1/2,z'
'-x+1/2,-y+1/2,-z'
'-x+3/4,-y+3/4,z'
'x+3/4,y+3/4,-z'
'x+1/2,-y+3/4,-z+1/4'
'-x+1/2,y+3/4,z+1/4'
'-x+3/4,y+1/2,-z+1/4'
'x+3/4,-y+1/2,z+1/4'
loop_
_atom_site_label
_atom_site_fract_x
_atom_site_fract_y
_atom_site_fract_z
La1 0.125 0.125 0.125
Tb1 0.125 0.125 0.459
Sm1 0.125 0.125 0.291
Sm2 0.125 0.125 0.625
```



# Sm2Co17N3
Calculated XRD peak list, copper Kα. Input: a cell relaxed with GGA-PBE.
Neutral-atom scattering factors, no anomalous dispersion.

Largest 10 diffraction maxima, by angle, 2θ from 10° to 90°:
| 2theta | I (rel.) | (hkl) |
| --- | --- | --- |
| 30.09 | 40 | 1 1 3 |
| 36.33 | 37 | 3 0 0 |
| 37.89 | 33 | 0 2 4 |
| 42.20 | 80 | 2 2 0 |
| 42.64 | 100 | 3 0 3 |
| 43.58 | 20 | 2 1 4 |
| 43.96 | 51 | 0 0 6 |
| 47.87 | 19 | 2 2 3 |
| 61.55 | 22 | 1 4 3 |
| 62.55 | 18 | 2 2 6 |

Structure:
```
data_Sm2Co17N3
_cell_length_a 8.5660
_cell_length_b 8.5660
_cell_length_c 12.3643
_cell_angle_alpha 90.00
_cell_angle_beta 90.00
_cell_angle_gamma 120.00
_space_group_name_H-M_alt 'R -3 m'
_space_group_IT_number 166
_space_group_name_Hall '-R 3 2"'
loop_
_atom_site_label
_atom_site_fract_x
_atom_site_fract_y
_atom_site_fract_z
Sm1 0.0000 0.0000 0.1554
Co1 0.0000 0.0000 0.4065
Co2 0.0000 0.2797 0.5000
Co3 0.0000 0.5000 0.0000
Co4 0.0157 0.5078 0.3486
N1 0.0000 0.5000 0.5000
```